LiFeF6: calculated powder X-ray diffraction pattern (Cu Kα X-rays), based on a DFT-relaxed cell (GGA+U, Alexandria).

Principal peaks in the range 2θ from 10° to 90°, low angle first:
two_theta  Rel. int.  h k l
18.92  74.9  0 0 1
20.63  86.5  0 2 0
21.32  100.0  1 1 0
25.36  76.8  1 1 -1
28.14  34.5  0 2 1
31.64  25.5  1 1 1
43.69  80.7  1 3 1
47.26  33.8  2 0 -2
57.70  19.9  1 3 2
66.70  21.2  1 3 -3

Unit cell a=4.913 b=8.609 c=4.838 alpha=90.00 beta=104.22 gamma=90.00
Fractional positions:
Li: 0.000 0.000 0.000
Li: 0.500 0.500 0.000
Fe: 0.000 0.500 0.500
Fe: 0.500 0.000 0.500
F: 0.211 0.357 0.725
F: 0.211 0.643 0.725
F: 0.239 0.500 0.276
F: 0.261 0.000 0.724
F: 0.289 0.143 0.275
F: 0.289 0.857 0.275
F: 0.711 0.143 0.725
F: 0.711 0.857 0.725
F: 0.739 0.000 0.276
F: 0.761 0.500 0.724
F: 0.789 0.357 0.275
F: 0.789 0.643 0.275